[1]
Diffraction record for Ce4Sb3H4. The PXRD pattern is theoretical, not measured: it uses DFT lattice parameters and positions (PBE) and Cu Kα (weighted mean of Kα1 and Kα2).

Most intense lines, 2θ = 10–90°, by intensity:
| Position (°2θ) | d (Å) | I_rel |
| --- | --- | --- |
| 33.24 | 2.695 | 100 |
| 34.83 | 2.576 | 98 |
| 27.80 | 3.209 | 54 |
| 28.00 | 3.186 | 32 |
| 41.84 | 2.159 | 32 |
| 67.84 | 1.381 | 29 |
| 33.60 | 2.667 | 28 |
| 45.68 | 1.986 | 26 |
| 25.06 | 3.554 | 23 |
| 49.86 | 1.829 | 23 |

Structure:
```
data_Ce4Sb3H4
_chemical_formula_sum 'Ce8 Sb6 H8'
_cell_length_a 4.318
_cell_length_b 7.107
_cell_length_c 14.388
_cell_angle_alpha 90.00
_cell_angle_beta 90.00
_cell_angle_gamma 90.00
_symmetry_space_group_name_H-M 'I m m m'
_symmetry_Int_Tables_number 71
_symmetry_space_group_name_Hall '-I 2 2'
loop_
_atom_site_label
_atom_site_type_symbol
_atom_site_fract_x
_atom_site_fract_y
_atom_site_fract_z
Ce1 Ce 0.000 0.000 0.218
Ce2 Ce 0.000 0.209 0.500
Sb1 Sb 0.000 0.000 0.000
Sb2 Sb 0.000 0.500 0.127
H1 H 0.000 0.310 0.322
```

[2]
Diffraction record for CeSbH. The PXRD pattern is theoretical, not measured: it uses DFT lattice parameters and positions (PBE) and Cu Kα (weighted mean of Kα1 and Kα2).

Most intense lines, 2θ = 10–90°, by intensity:
| Position (°2θ) | d (Å) | I_rel |
| --- | --- | --- |
| 32.84 | 2.727 | 100 |
| 25.41 | 3.505 | 32 |
| 44.79 | 2.024 | 28 |
| 56.64 | 1.625 | 21 |
| 62.78 | 1.480 | 20 |
| 74.95 | 1.267 | 18 |
| 41.61 | 2.170 | 12 |
| 70.40 | 1.337 | 11 |
| 49.39 | 1.845 | 10 |
| 87.41 | 1.116 | 6 |

Structure:
```
data_CeSbH
_chemical_formula_sum 'Ce1 Sb1 H1'
_cell_length_a 4.0471
_cell_length_b 4.0471
_cell_length_c 4.3409
_cell_angle_alpha 90.00
_cell_angle_beta 90.00
_cell_angle_gamma 120.00
_symmetry_space_group_name_H-M 'P -6 m 2'
_symmetry_Int_Tables_number 187
_symmetry_space_group_name_Hall 'P -6 2'
loop_
_atom_site_label
_atom_site_type_symbol
_atom_site_fract_x
_atom_site_fract_y
_atom_site_fract_z
Ce1 Ce 0.0000 0.0000 0.0000
Sb1 Sb 0.6667 0.3333 0.5000
H1 H 0.3333 0.6667 0.0000
```

[3]
Diffraction record for Ce3ScH8. The PXRD pattern is theoretical, not measured: it uses DFT lattice parameters and positions (PBE) and Cu Kα (weighted mean of Kα1 and Kα2).

Most intense lines, 2θ = 10–90°, by intensity:
| Position (°2θ) | d (Å) | I_rel |
| --- | --- | --- |
| 29.38 | 3.040 | 100 |
| 34.05 | 2.633 | 48 |
| 58.10 | 1.588 | 43 |
| 48.92 | 1.862 | 37 |
| 79.31 | 1.208 | 17 |
| 81.80 | 1.177 | 16 |
| 60.95 | 1.520 | 12 |
| 16.84 | 5.266 | 11 |
| 23.90 | 3.723 | 10 |
| 38.22 | 2.355 | 6 |

Structure:
```
data_Ce3ScH8
_chemical_formula_sum 'Ce3 Sc1 H8'
_cell_length_a 5.266
_cell_length_b 5.266
_cell_length_c 5.266
_cell_angle_alpha 90.00
_cell_angle_beta 90.00
_cell_angle_gamma 90.00
_symmetry_space_group_name_H-M 'P m -3 m'
_symmetry_Int_Tables_number 221
_symmetry_space_group_name_Hall '-P 4 2 3'
loop_
_atom_site_label
_atom_site_type_symbol
_atom_site_fract_x
_atom_site_fract_y
_atom_site_fract_z
Ce1 Ce 0.000 0.000 0.500
Sc1 Sc 0.500 0.500 0.500
H1 H 0.268 0.268 0.268
```

[4]
Diffraction record for Ce3HSe3. The PXRD pattern is theoretical, not measured: it uses DFT lattice parameters and positions (PBE) and Cu Kα (weighted mean of Kα1 and Kα2).

Most intense lines, 2θ = 10–90°, by intensity:
| Position (°2θ) | d (Å) | I_rel |
| --- | --- | --- |
| 31.53 | 2.837 | 100 |
| 36.70 | 2.449 | 77 |
| 56.23 | 1.636 | 47 |
| 36.57 | 2.457 | 41 |
| 18.06 | 4.911 | 41 |
| 41.19 | 2.192 | 40 |
| 68.89 | 1.363 | 31 |
| 31.68 | 2.824 | 28 |
| 49.04 | 1.857 | 24 |
| 86.33 | 1.127 | 22 |

Structure:
```
data_Ce3HSe3
_chemical_formula_sum 'Ce9 H3 Se9'
_cell_length_a 9.8296
_cell_length_b 9.8296
_cell_length_c 5.9876
_cell_angle_alpha 90.00
_cell_angle_beta 90.00
_cell_angle_gamma 120.00
_symmetry_space_group_name_H-M 'R 3 m'
_symmetry_Int_Tables_number 160
_symmetry_space_group_name_Hall 'R 3 -2"'
loop_
_atom_site_label
_atom_site_type_symbol
_atom_site_fract_x
_atom_site_fract_y
_atom_site_fract_z
Ce1 Ce 0.1963 0.3925 0.0000
H1 H 0.0000 0.0000 0.3312
Se1 Se 0.1965 0.3931 0.4954
```

[5]
Diffraction record for Ce6HSe5. The PXRD pattern is theoretical, not measured: it uses DFT lattice parameters and positions (PBE) and Cu Kα (weighted mean of Kα1 and Kα2).

Most intense lines, 2θ = 10–90°, by intensity:
| Position (°2θ) | d (Å) | I_rel |
| --- | --- | --- |
| 43.72 | 2.071 | 100 |
| 30.56 | 2.925 | 90 |
| 30.46 | 2.935 | 46 |
| 54.26 | 1.691 | 35 |
| 26.36 | 3.381 | 32 |
| 72.19 | 1.309 | 29 |
| 80.36 | 1.195 | 21 |
| 71.99 | 1.312 | 15 |
| 80.20 | 1.197 | 11 |
| 63.62 | 1.463 | 11 |

Structure:
```
data_Ce6HSe5
_chemical_formula_sum 'Ce12 H2 Se10'
_cell_length_a 7.183
_cell_length_b 12.410
_cell_length_c 7.179
_cell_angle_alpha 90.00
_cell_angle_beta 109.65
_cell_angle_gamma 90.00
_symmetry_space_group_name_H-M 'C 1 2/m 1'
_symmetry_Int_Tables_number 12
loop_
_symmetry_equiv_pos_as_xyz
'x,y,z'
'-x,-y,-z'
'-x,y,-z'
'x,-y,z'
'x+1/2,y+1/2,z'
'-x+1/2,-y+1/2,-z'
'-x+1/2,y+1/2,-z'
'x+1/2,-y+1/2,z'
loop_
_atom_site_label
_atom_site_type_symbol
_atom_site_fract_x
_atom_site_fract_y
_atom_site_fract_z
Ce1 Ce 0.242 0.000 0.249
Ce2 Ce 0.242 0.162 0.741
H1 H 0.000 0.000 0.500
Se1 Se 0.000 0.173 0.000
Se2 Se 0.000 0.335 0.500
Se3 Se 0.000 0.500 0.000
```

[6]
Diffraction record for Ce6Si3H2. The PXRD pattern is theoretical, not measured: it uses DFT lattice parameters and positions (PBE) and Cu Kα (weighted mean of Kα1 and Kα2).

Most intense lines, 2θ = 10–90°, by intensity:
| Position (°2θ) | d (Å) | I_rel |
| --- | --- | --- |
| 29.07 | 3.071 | 100 |
| 36.09 | 2.489 | 94 |
| 40.14 | 2.246 | 63 |
| 31.87 | 2.808 | 35 |
| 54.13 | 1.694 | 33 |
| 22.19 | 4.006 | 30 |
| 70.31 | 1.339 | 27 |
| 29.74 | 3.004 | 25 |
| 32.83 | 2.728 | 23 |
| 22.69 | 3.919 | 23 |

Structure:
```
data_Ce6Si3H2
_chemical_formula_sum 'Ce12 Si6 H4'
_cell_length_a 4.493
_cell_length_b 4.493
_cell_length_c 24.034
_cell_angle_alpha 90.00
_cell_angle_beta 90.00
_cell_angle_gamma 90.00
_symmetry_space_group_name_H-M 'I 4/m m m'
_symmetry_Int_Tables_number 139
_symmetry_space_group_name_Hall '-I 4 2'
loop_
_atom_site_label
_atom_site_type_symbol
_atom_site_fract_x
_atom_site_fract_y
_atom_site_fract_z
Ce1 Ce 0.000 0.000 0.204
Ce2 Ce 0.000 0.500 0.080
Si1 Si 0.000 0.000 0.330
Si2 Si 0.000 0.000 0.500
H1 H 0.000 0.000 0.107
```

[7]
Diffraction record for Ce6Si3H. The PXRD pattern is theoretical, not measured: it uses DFT lattice parameters and positions (PBE) and Cu Kα (weighted mean of Kα1 and Kα2).

Most intense lines, 2θ = 10–90°, by intensity:
| Position (°2θ) | d (Å) | I_rel |
| --- | --- | --- |
| 31.67 | 2.825 | 100 |
| 28.26 | 3.158 | 80 |
| 33.63 | 2.665 | 60 |
| 35.58 | 2.524 | 54 |
| 36.70 | 2.449 | 51 |
| 37.88 | 2.375 | 45 |
| 22.07 | 4.028 | 35 |
| 51.06 | 1.789 | 22 |
| 40.23 | 2.242 | 18 |
| 12.42 | 7.124 | 18 |

Structure:
```
data_Ce6Si3H
_chemical_formula_sum 'Ce12 Si6 H2'
_cell_length_a 9.950
_cell_length_b 6.150
_cell_length_c 7.238
_cell_angle_alpha 90.00
_cell_angle_beta 100.18
_cell_angle_gamma 90.00
_symmetry_space_group_name_H-M 'C 1 2/m 1'
_symmetry_Int_Tables_number 12
loop_
_symmetry_equiv_pos_as_xyz
'x,y,z'
'-x,-y,-z'
'-x,y,-z'
'x,-y,z'
'x+1/2,y+1/2,z'
'-x+1/2,-y+1/2,-z'
'-x+1/2,y+1/2,-z'
'x+1/2,-y+1/2,z'
loop_
_atom_site_label
_atom_site_type_symbol
_atom_site_fract_x
_atom_site_fract_y
_atom_site_fract_z
Ce1 Ce 0.125 0.226 0.374
Ce2 Ce 0.142 0.500 0.893
Si1 Si 0.000 0.000 0.000
Si2 Si 0.152 0.000 0.752
H1 H 0.000 0.500 0.500
```

[8]
Diffraction record for Ce3SnH2. The PXRD pattern is theoretical, not measured: it uses DFT lattice parameters and positions (PBE) and Cu Kα (weighted mean of Kα1 and Kα2).

Most intense lines, 2θ = 10–90°, by intensity:
| Position (°2θ) | d (Å) | I_rel |
| --- | --- | --- |
| 31.55 | 2.836 | 100 |
| 37.51 | 2.397 | 32 |
| 63.99 | 1.455 | 27 |
| 52.01 | 1.758 | 25 |
| 34.68 | 2.586 | 20 |
| 85.24 | 1.138 | 19 |
| 60.21 | 1.537 | 16 |
| 65.88 | 1.418 | 12 |
| 54.10 | 1.695 | 11 |
| 88.57 | 1.104 | 6 |

Structure:
```
data_Ce3SnH2
_chemical_formula_sum 'Ce6 Sn2 H4'
_cell_length_a 4.795
_cell_length_b 4.795
_cell_length_c 10.346
_cell_angle_alpha 90.00
_cell_angle_beta 90.00
_cell_angle_gamma 90.00
_symmetry_space_group_name_H-M 'I 4/m m m'
_symmetry_Int_Tables_number 139
_symmetry_space_group_name_Hall '-I 4 2'
loop_
_atom_site_label
_atom_site_type_symbol
_atom_site_fract_x
_atom_site_fract_y
_atom_site_fract_z
Ce1 Ce 0.000 0.000 0.000
Ce2 Ce 0.000 0.500 0.250
Sn1 Sn 0.000 0.000 0.500
H1 H 0.000 0.000 0.219
```

[9]
Diffraction record for Ce2Zn2Sn2H3. The PXRD pattern is theoretical, not measured: it uses DFT lattice parameters and positions (PBE) and Cu Kα (weighted mean of Kα1 and Kα2).

Most intense lines, 2θ = 10–90°, by intensity:
| Position (°2θ) | d (Å) | I_rel |
| --- | --- | --- |
| 30.62 | 2.920 | 100 |
| 41.30 | 2.186 | 47 |
| 58.31 | 1.582 | 26 |
| 52.28 | 1.750 | 22 |
| 68.71 | 1.366 | 20 |
| 39.28 | 2.294 | 14 |
| 34.02 | 2.635 | 9 |
| 88.41 | 1.106 | 8 |
| 75.30 | 1.262 | 8 |
| 65.87 | 1.418 | 8 |

Structure:
```
data_Ce2Zn2Sn2H3
_chemical_formula_sum 'Ce4 Zn4 Sn4 H6'
_cell_length_a 4.3718
_cell_length_b 4.3718
_cell_length_c 18.3507
_cell_angle_alpha 90.00
_cell_angle_beta 90.00
_cell_angle_gamma 120.00
_symmetry_space_group_name_H-M 'P 63/m m c'
_symmetry_Int_Tables_number 194
_symmetry_space_group_name_Hall '-P 6c 2c'
loop_
_atom_site_label
_atom_site_type_symbol
_atom_site_fract_x
_atom_site_fract_y
_atom_site_fract_z
Ce1 Ce 0.0000 0.0000 0.0000
Ce2 Ce 0.0000 0.0000 0.2500
Zn1 Zn 0.3333 0.6667 0.1115
Sn1 Sn 0.3333 0.6667 0.6387
H1 H 0.3333 0.6667 0.0136
H2 H 0.3333 0.6667 0.2500
```

[10]
Diffraction record for Ce2ZnTcH6. The PXRD pattern is theoretical, not measured: it uses DFT lattice parameters and positions (PBE) and Cu Kα (weighted mean of Kα1 and Kα2).

Most intense lines, 2θ = 10–90°, by intensity:
| Position (°2θ) | d (Å) | I_rel |
| --- | --- | --- |
| 27.11 | 3.290 | 100 |
| 38.24 | 2.354 | 86 |
| 24.64 | 3.613 | 35 |
| 39.18 | 2.299 | 35 |
| 31.76 | 2.818 | 32 |
| 47.50 | 1.914 | 23 |
| 33.50 | 2.675 | 22 |
| 62.54 | 1.485 | 19 |
| 70.43 | 1.337 | 18 |
| 13.63 | 6.497 | 16 |

Structure:
```
data_Ce2ZnTcH6
_chemical_formula_sum 'Ce12 Zn6 Tc6 H36'
_cell_length_a 4.7077
_cell_length_b 4.7077
_cell_length_c 38.9816
_cell_angle_alpha 90.00
_cell_angle_beta 90.00
_cell_angle_gamma 120.00
_symmetry_space_group_name_H-M 'R -3 m'
_symmetry_Int_Tables_number 166
_symmetry_space_group_name_Hall '-R 3 2"'
loop_
_atom_site_label
_atom_site_type_symbol
_atom_site_fract_x
_atom_site_fract_y
_atom_site_fract_z
Ce1 Ce 0.0000 0.0000 0.1302
Ce2 Ce 0.0000 0.0000 0.2969
Zn1 Zn 0.0000 0.0000 0.4208
Tc1 Tc 0.0000 0.0000 0.0000
Tc2 Tc 0.0000 0.0000 0.5000
H1 H 0.0262 0.5131 0.3080
H2 H 0.0326 0.5163 0.8578
```

[11]
Diffraction record for Ce3TeH3. The PXRD pattern is theoretical, not measured: it uses DFT lattice parameters and positions (PBE) and Cu Kα (weighted mean of Kα1 and Kα2).

Most intense lines, 2θ = 10–90°, by intensity:
| Position (°2θ) | d (Å) | I_rel |
| --- | --- | --- |
| 28.60 | 3.121 | 100 |
| 36.25 | 2.478 | 44 |
| 45.13 | 2.009 | 28 |
| 54.30 | 1.689 | 16 |
| 60.60 | 1.528 | 14 |
| 73.20 | 1.293 | 13 |
| 46.59 | 1.949 | 11 |
| 59.21 | 1.561 | 10 |
| 38.25 | 2.353 | 10 |
| 58.65 | 1.574 | 9 |

Structure:
```
data_Ce3TeH3
_chemical_formula_sum 'Ce18 Te6 H18'
_cell_length_a 6.9596
_cell_length_b 6.9596
_cell_length_c 21.1786
_cell_angle_alpha 90.00
_cell_angle_beta 90.00
_cell_angle_gamma 120.00
_symmetry_space_group_name_H-M 'R -3'
_symmetry_Int_Tables_number 148
_symmetry_space_group_name_Hall '-R 3'
loop_
_atom_site_label
_atom_site_type_symbol
_atom_site_fract_x
_atom_site_fract_y
_atom_site_fract_z
Ce1 Ce 0.0018 0.6792 0.0980
Te1 Te 0.0000 0.0000 0.3329
H1 H 0.9995 0.3428 0.1248
```

[12]
Diffraction record for Ce2Th2H. The PXRD pattern is theoretical, not measured: it uses DFT lattice parameters and positions (PBE) and Cu Kα (weighted mean of Kα1 and Kα2).

Most intense lines, 2θ = 10–90°, by intensity:
| Position (°2θ) | d (Å) | I_rel |
| --- | --- | --- |
| 31.17 | 2.869 | 100 |
| 36.15 | 2.485 | 51 |
| 61.93 | 1.498 | 43 |
| 52.05 | 1.757 | 37 |
| 85.09 | 1.140 | 18 |
| 87.86 | 1.111 | 17 |
| 65.01 | 1.435 | 13 |
| 76.71 | 1.242 | 6 |
| 17.84 | 4.973 | 5 |
| 25.35 | 3.513 | 4 |

Structure:
```
data_Ce2Th2H
_chemical_formula_sum 'Ce2 Th2 H1'
_cell_length_a 4.968
_cell_length_b 4.968
_cell_length_c 4.973
_cell_angle_alpha 90.00
_cell_angle_beta 90.00
_cell_angle_gamma 90.00
_symmetry_space_group_name_H-M 'P 4/m m m'
_symmetry_Int_Tables_number 123
_symmetry_space_group_name_Hall '-P 4 2'
loop_
_atom_site_label
_atom_site_type_symbol
_atom_site_fract_x
_atom_site_fract_y
_atom_site_fract_z
Ce1 Ce 0.000 0.500 0.000
Th1 Th 0.000 0.000 0.500
Th2 Th 0.500 0.500 0.500
H1 H 0.000 0.000 0.000
```

[13]
Diffraction record for CeTi2H4. The PXRD pattern is theoretical, not measured: it uses DFT lattice parameters and positions (PBE) and Cu Kα (weighted mean of Kα1 and Kα2).

Most intense lines, 2θ = 10–90°, by intensity:
| Position (°2θ) | d (Å) | I_rel |
| --- | --- | --- |
| 35.08 | 2.558 | 100 |
| 29.79 | 2.999 | 72 |
| 56.35 | 1.633 | 33 |
| 52.87 | 1.732 | 28 |
| 61.87 | 1.500 | 24 |
| 88.54 | 1.104 | 20 |
| 18.11 | 4.898 | 18 |
| 85.69 | 1.134 | 14 |
| 70.16 | 1.341 | 12 |
| 36.70 | 2.449 | 11 |

Structure:
Unit cell a=8.483 b=8.483 c=8.483 alpha=90.00 beta=90.00 gamma=90.00
Space group Fd-3m (No. 227, origin choice 2)
One atom of each set of equivalent atoms:
Ce  0.125  0.125  0.125 [8 per cell]
Ti  0.000  0.000  0.500 [16 per cell]
H  0.028  0.028  0.722 [32 per cell]

[14]
Diffraction record for CeTiH. The PXRD pattern is theoretical, not measured: it uses DFT lattice parameters and positions (PBE) and Cu Kα (weighted mean of Kα1 and Kα2).

Most intense lines, 2θ = 10–90°, by intensity:
| Position (°2θ) | d (Å) | I_rel |
| --- | --- | --- |
| 37.47 | 2.400 | 100 |
| 16.13 | 5.495 | 37 |
| 33.59 | 2.668 | 35 |
| 32.59 | 2.748 | 30 |
| 47.50 | 1.914 | 28 |
| 61.39 | 1.510 | 23 |
| 70.02 | 1.344 | 19 |
| 60.05 | 1.541 | 15 |
| 72.97 | 1.297 | 14 |
| 62.62 | 1.483 | 7 |

Structure:
```
data_CeTiH
_chemical_formula_sum 'Ce1 Ti1 H1'
_cell_length_a 3.0812
_cell_length_b 3.0812
_cell_length_c 5.4951
_cell_angle_alpha 90.00
_cell_angle_beta 90.00
_cell_angle_gamma 120.00
_symmetry_space_group_name_H-M 'P 3 m 1'
_symmetry_Int_Tables_number 156
loop_
_symmetry_equiv_pos_as_xyz
'x,y,z'
'-y,x-y,z'
'-x+y,-x,z'
'-y,-x,z'
'-x+y,y,z'
'x,x-y,z'
loop_
_atom_site_label
_atom_site_type_symbol
_atom_site_fract_x
_atom_site_fract_y
_atom_site_fract_z
Ce1 Ce 0.0000 0.0000 0.0000
Ti1 Ti 0.6667 0.3333 0.4890
H1 H 0.3333 0.6667 0.6687
```